# 1
Theoretical powder diffraction line list
Compound: BaSrBi
Radiation: Cu Kα, 1.54184 Å
Structure: DFT lattice parameters and positions (GGA-PBE)
Neutral-atom scattering factors, no anomalous dispersion.

Principal peaks in the range 5° ≤ 2θ ≤ 70°, low angle first:
Position (°2θ)	intensity	(hkl)
18.66	53	1 1 1
30.70	100	2 2 0
36.17	32	3 1 1
43.97	19	4 0 0
48.16	14	3 3 1
54.58	40	4 2 2
58.20	11	5 1 1
63.94	12	4 4 0
67.25	11	5 3 1

```
data_BaSrBi
_cell_length_a 8.2367
_cell_length_b 8.2367
_cell_length_c 8.2367
_cell_angle_alpha 90.00
_cell_angle_beta 90.00
_cell_angle_gamma 90.00
_space_group_name_H-M_alt 'F -4 3 m'
_space_group_IT_number 216
_space_group_name_Hall 'F -4 2 3'
loop_
_atom_site_label
_atom_site_fract_x
_atom_site_fract_y
_atom_site_fract_z
_atom_site_occupancy
Ba1 0.0000 0.0000 0.0000 1
Sr1 0.0000 0.0000 0.5000 1
Bi1 0.2500 0.2500 0.2500 1
```

---

# 2
Theoretical powder diffraction line list
Compound: Ba5TbBi5
Radiation: Cu Kα, 1.54184 Å
Structure: DFT lattice parameters and positions (GGA-PBE)
Neutral-atom scattering factors, no anomalous dispersion.

Principal peaks in the range 5° ≤ 2θ ≤ 70°, low angle first:
Position (°2θ)	intensity	(hkl)
24.99	88	4 0 -2
25.54	100	0 2 0
25.56	95	2 0 2
34.57	37	6 0 0
36.04	68	4 2 -2
36.44	77	2 2 2
37.47	31	2 0 -4
43.48	37	6 2 0
45.90	35	2 2 -4
59.26	36	2 4 2

```
data_Ba5TbBi5
_cell_length_a 16.3925
_cell_length_b 6.9762
_cell_length_c 9.6020
_cell_angle_alpha 90.00
_cell_angle_beta 108.29
_cell_angle_gamma 90.00
_space_group_name_H-M_alt 'C 1 2/m 1'
_space_group_IT_number 12
_space_group_name_Hall '-C 2y'
loop_
_atom_site_label
_atom_site_fract_x
_atom_site_fract_y
_atom_site_fract_z
_atom_site_occupancy
Ba1 0.0000 0.0000 0.0000 1
Ba2 0.1706 0.5000 0.3409 1
Ba3 0.1870 0.5000 0.8188 1
Tb1 0.0000 0.0000 0.5000 1
Bi1 0.0000 0.5000 0.5000 1
Bi2 0.1465 0.0000 0.3479 1
Bi3 0.1540 0.0000 0.8165 1
```